No. 1
The following is a calculated powder XRD pattern of Ho12MgCu6. It was derived from a PBE-relaxed structure, using Cu Kα (λ = 1.5418 Å).

Principal peaks in the range 10° ≤ 2θ ≤ 90°, low angle first:
d = 3.478 Å, 2θ 25.62, I = 152, hkl 2 2 0
d = 3.110 Å, 2θ 28.70, I = 355, hkl 3 0 1
d = 2.839 Å, 2θ 31.51, I = 426, hkl 2 2 2
d = 2.629 Å, 2θ 34.11, I = 1000, hkl 3 1 2
d = 2.459 Å, 2θ 36.54, I = 177, hkl 4 0 0
d = 1.929 Å, 2θ 47.11, I = 172, hkl 5 0 1
d = 1.687 Å, 2θ 54.39, I = 369, hkl 5 3 0
d = 1.639 Å, 2θ 56.10, I = 129, hkl 6 0 0
d = 1.596 Å, 2θ 57.78, I = 348, hkl 5 2 3
d = 1.391 Å, 2θ 67.31, I = 182, hkl 5 3 4
d = 1.159 Å, 2θ 83.37, I = 130, hkl 8 2 2
d = 1.143 Å, 2θ 84.79, I = 175, hkl 7 0 5

Structure:
```
data_Ho12MgCu6
_cell_length_a 9.836
_cell_length_b 9.836
_cell_length_c 9.836
_cell_angle_alpha 90.00
_cell_angle_beta 90.00
_cell_angle_gamma 90.00
_symmetry_space_group_name_H-M 'I m -3'
_symmetry_Int_Tables_number 204
_symmetry_space_group_name_Hall '-I 2 2 3'
loop_
_atom_site_label
_atom_site_type_symbol
_atom_site_fract_x
_atom_site_fract_y
_atom_site_fract_z
Ho1 Ho 0.000 0.297 0.189
Mg1 Mg 0.000 0.000 0.000
Cu1 Cu 0.000 0.124 0.500
```


No. 2
The following is a calculated powder XRD pattern of Ho2MgCu2. It was derived from a PBE-relaxed structure, using Cu Kα (λ = 1.5418 Å).

Principal peaks in the range 10° ≤ 2θ ≤ 90°, low angle first:
d = 5.355 Å, 2θ 16.56, I = 213, hkl 1 1 0
d = 3.786 Å, 2θ 23.50, I = 129, hkl 2 0 0
d = 3.387 Å, 2θ 26.32, I = 199, hkl 2 1 0
d = 2.653 Å, 2θ 33.79, I = 197, hkl 2 0 1
d = 2.503 Å, 2θ 35.87, I = 1000, hkl 2 1 1
d = 2.395 Å, 2θ 37.56, I = 245, hkl 3 1 0
d = 1.859 Å, 2θ 49.01, I = 106, hkl 0 0 2
d = 1.837 Å, 2θ 49.64, I = 112, hkl 4 1 0
d = 1.785 Å, 2θ 51.18, I = 106, hkl 3 3 0
d = 1.647 Å, 2θ 55.83, I = 154, hkl 4 1 1
d = 1.468 Å, 2θ 63.34, I = 103, hkl 3 1 2
d = 1.315 Å, 2θ 71.77, I = 118, hkl 5 2 1

Structure:
```
data_Ho2MgCu2
_cell_length_a 7.573
_cell_length_b 7.573
_cell_length_c 3.717
_cell_angle_alpha 90.00
_cell_angle_beta 90.00
_cell_angle_gamma 90.00
_symmetry_space_group_name_H-M 'P 4/m b m'
_symmetry_Int_Tables_number 127
_symmetry_space_group_name_Hall '-P 4 2ab'
loop_
_atom_site_label
_atom_site_type_symbol
_atom_site_fract_x
_atom_site_fract_y
_atom_site_fract_z
Ho1 Ho 0.169 0.331 0.000
Mg1 Mg 0.000 0.000 0.500
Cu1 Cu 0.124 0.624 0.500
```


No. 3
The following is a calculated powder XRD pattern of YHoMgCu. It was derived from a PBE-relaxed structure, using Cu Kα (λ = 1.5418 Å).

Principal peaks in the range 10° ≤ 2θ ≤ 90°, low angle first:
d = 7.969 Å, 2θ 11.10, I = 530, hkl 0 0 1
d = 3.985 Å, 2θ 22.31, I = 129, hkl 0 0 2
d = 3.492 Å, 2θ 25.51, I = 258, hkl 1 0 0
d = 2.626 Å, 2θ 34.14, I = 1000, hkl 1 0 2
d = 2.469 Å, 2θ 36.38, I = 496, hkl 1 1 0
d = 2.359 Å, 2θ 38.15, I = 116, hkl 1 1 1
d = 2.114 Å, 2θ 42.77, I = 251, hkl 1 0 3
d = 2.099 Å, 2θ 43.10, I = 93, hkl 1 1 2
d = 1.746 Å, 2θ 52.40, I = 171, hkl 2 0 0
d = 1.551 Å, 2θ 59.63, I = 111, hkl 1 1 4
d = 1.454 Å, 2θ 64.04, I = 311, hkl 2 1 2
d = 1.346 Å, 2θ 69.87, I = 114, hkl 2 1 3

Structure:
```
data_YHoMgCu
_cell_length_a 3.492
_cell_length_b 3.492
_cell_length_c 7.969
_cell_angle_alpha 90.00
_cell_angle_beta 90.00
_cell_angle_gamma 90.00
_symmetry_space_group_name_H-M 'P 4 m m'
_symmetry_Int_Tables_number 99
loop_
_symmetry_equiv_pos_as_xyz
'x,y,z'
'-y,x,z'
'-x,-y,z'
'y,-x,z'
'-x,y,z'
'y,x,z'
'x,-y,z'
'-y,-x,z'
loop_
_atom_site_label
_atom_site_type_symbol
_atom_site_fract_x
_atom_site_fract_y
_atom_site_fract_z
Y1 Y 0.000 0.000 0.000
Ho1 Ho 0.000 0.000 0.423
Mg1 Mg 0.500 0.500 0.711
Cu1 Cu 0.500 0.500 0.217
```


No. 4
The following is a calculated powder XRD pattern of NaHoCuSe2. It was derived from a PBE-relaxed structure, using Cu Kα (λ = 1.5418 Å).

Principal peaks in the range 10° ≤ 2θ ≤ 90°, low angle first:
d = 7.013 Å, 2θ 12.62, I = 1000, hkl 1 0 0
d = 4.546 Å, 2θ 19.53, I = 221, hkl 0 1 0
d = 3.313 Å, 2θ 26.91, I = 262, hkl 1 1 1
d = 2.848 Å, 2θ 31.41, I = 320, hkl 1 1 -2
d = 2.837 Å, 2θ 31.53, I = 235, hkl 2 0 -2
d = 2.612 Å, 2θ 34.33, I = 398, hkl 1 1 2
d = 2.407 Å, 2θ 37.36, I = 321, hkl 2 1 -2
d = 2.162 Å, 2θ 41.78, I = 194, hkl 1 2 0
d = 2.136 Å, 2θ 42.31, I = 209, hkl 2 1 2
d = 1.953 Å, 2θ 46.51, I = 249, hkl 1 0 -4
d = 1.907 Å, 2θ 47.68, I = 207, hkl 2 2 0
d = 1.412 Å, 2θ 66.20, I = 187, hkl 0 3 2

Structure:
```
data_NaHoCuSe2
_cell_length_a 7.103
_cell_length_b 4.546
_cell_length_c 7.873
_cell_angle_alpha 90.00
_cell_angle_beta 99.13
_cell_angle_gamma 90.00
_symmetry_space_group_name_H-M 'P 1 2/c 1'
_symmetry_Int_Tables_number 13
loop_
_symmetry_equiv_pos_as_xyz
'x,y,z'
'-x,-y,-z'
'-x,y,-z+1/2'
'x,-y,z+1/2'
loop_
_atom_site_label
_atom_site_type_symbol
_atom_site_fract_x
_atom_site_fract_y
_atom_site_fract_z
Na1 Na 0.000 0.151 0.250
Ho1 Ho 0.500 0.493 0.750
Cu1 Cu 0.500 0.000 0.000
Se1 Se 0.235 0.320 0.965
```


No. 5
The following is a calculated powder XRD pattern of NdHoCuSn. It was derived from a PBE-relaxed structure, using Cu Kα (λ = 1.5418 Å).

Principal peaks in the range 10° ≤ 2θ ≤ 90°, low angle first:
d = 4.266 Å, 2θ 20.82, I = 27, hkl 1 1 1
d = 3.694 Å, 2θ 24.09, I = 68, hkl 2 0 0
d = 2.612 Å, 2θ 34.33, I = 1000, hkl 2 2 0
d = 2.228 Å, 2θ 40.50, I = 16, hkl 3 1 1
d = 2.133 Å, 2θ 42.38, I = 20, hkl 2 2 2
d = 1.847 Å, 2θ 49.34, I = 180, hkl 4 0 0
d = 1.695 Å, 2θ 54.11, I = 8, hkl 3 3 1
d = 1.652 Å, 2θ 55.63, I = 28, hkl 4 2 0
d = 1.508 Å, 2θ 61.49, I = 371, hkl 4 2 2
d = 1.306 Å, 2θ 72.35, I = 115, hkl 4 4 0
d = 1.231 Å, 2θ 77.52, I = 13, hkl 6 0 0
d = 1.168 Å, 2θ 82.59, I = 163, hkl 6 2 0

Structure:
```
data_NdHoCuSn
_cell_length_a 7.388
_cell_length_b 7.388
_cell_length_c 7.388
_cell_angle_alpha 90.00
_cell_angle_beta 90.00
_cell_angle_gamma 90.00
_symmetry_space_group_name_H-M 'F -4 3 m'
_symmetry_Int_Tables_number 216
_symmetry_space_group_name_Hall 'F -4 2 3'
loop_
_atom_site_label
_atom_site_type_symbol
_atom_site_fract_x
_atom_site_fract_y
_atom_site_fract_z
Nd1 Nd 0.000 0.000 0.000
Ho1 Ho 0.000 0.000 0.500
Cu1 Cu 0.250 0.250 0.250
Sn1 Sn 0.250 0.250 0.750
```


No. 6
The following is a calculated powder XRD pattern of HoCu3Ni8. It was derived from a PBE-relaxed structure, using Cu Kα (λ = 1.5418 Å).

Principal peaks in the range 10° ≤ 2θ ≤ 90°, low angle first:
d = 3.637 Å, 2θ 24.48, I = 157, hkl 1 0 1
d = 2.821 Å, 2θ 31.72, I = 204, hkl 0 1 2
d = 2.378 Å, 2θ 37.83, I = 438, hkl 1 1 0
d = 2.187 Å, 2θ 41.28, I = 845, hkl 1 0 3
d = 2.060 Å, 2θ 43.96, I = 143, hkl 2 0 0
d = 2.026 Å, 2θ 44.72, I = 1000, hkl 1 1 2
d = 1.991 Å, 2θ 45.57, I = 829, hkl 2 0 1
d = 1.751 Å, 2θ 52.23, I = 144, hkl 1 0 4
d = 1.333 Å, 2θ 70.66, I = 298, hkl 2 1 3
d = 1.294 Å, 2θ 73.12, I = 213, hkl 0 3 2
d = 1.238 Å, 2θ 77.05, I = 248, hkl 0 2 5
d = 1.189 Å, 2θ 80.82, I = 244, hkl 2 2 0

Structure:
```
data_HoCu3Ni8
_cell_length_a 4.7569
_cell_length_b 4.7569
_cell_length_c 7.7420
_cell_angle_alpha 90.00
_cell_angle_beta 90.00
_cell_angle_gamma 120.00
_symmetry_space_group_name_H-M 'P 3 m 1'
_symmetry_Int_Tables_number 156
loop_
_symmetry_equiv_pos_as_xyz
'x,y,z'
'-y,x-y,z'
'-x+y,-x,z'
'-y,-x,z'
'-x+y,y,z'
'x,x-y,z'
loop_
_atom_site_label
_atom_site_type_symbol
_atom_site_fract_x
_atom_site_fract_y
_atom_site_fract_z
Ho1 Ho 0.0000 0.0000 0.0000
Cu1 Cu 0.0000 0.0000 0.3887
Cu2 Cu 0.6667 0.3333 0.4957
Cu3 Cu 0.6667 0.3333 0.8380
Ni1 Ni 0.1644 0.3289 0.6768
Ni2 Ni 0.3333 0.6667 0.4327
Ni3 Ni 0.3333 0.6667 0.9319
Ni4 Ni 0.5037 0.0075 0.1942
```


No. 7
The following is a calculated powder XRD pattern of HoCu2Ni5. It was derived from a PBE-relaxed structure, using Cu Kα (λ = 1.5418 Å).

Principal peaks in the range 10° ≤ 2θ ≤ 90°, low angle first:
d = 3.336 Å, 2θ 26.72, I = 227, hkl 0 2 0
d = 2.782 Å, 2θ 32.18, I = 195, hkl 0 1 3
d = 2.596 Å, 2θ 34.56, I = 568, hkl 1 1 2
d = 2.356 Å, 2θ 38.20, I = 1000, hkl 1 2 1
d = 2.323 Å, 2θ 38.77, I = 880, hkl 1 0 3
d = 2.162 Å, 2θ 41.77, I = 240, hkl 0 3 1
d = 1.890 Å, 2θ 48.14, I = 805, hkl 0 2 4
d = 1.784 Å, 2θ 51.20, I = 356, hkl 2 0 0
d = 1.746 Å, 2θ 52.40, I = 244, hkl 1 3 2
d = 1.376 Å, 2θ 68.14, I = 219, hkl 1 1 6
d = 1.298 Å, 2θ 72.89, I = 340, hkl 2 2 4
d = 1.155 Å, 2θ 83.75, I = 152, hkl 1 2 7

Structure:
```
data_HoCu2Ni5
_cell_length_a 3.569
_cell_length_b 6.675
_cell_length_c 9.180
_cell_angle_alpha 90.00
_cell_angle_beta 90.00
_cell_angle_gamma 90.00
_symmetry_space_group_name_H-M 'I m m m'
_symmetry_Int_Tables_number 71
_symmetry_space_group_name_Hall '-I 2 2'
loop_
_atom_site_label
_atom_site_type_symbol
_atom_site_fract_x
_atom_site_fract_y
_atom_site_fract_z
Ho1 Ho 0.000 0.000 0.000
Cu1 Cu 0.000 0.500 0.256
Ni1 Ni 0.000 0.184 0.365
Ni2 Ni 0.000 0.500 0.000
```


No. 8
The following is a calculated powder XRD pattern of HoCu2Ni6. It was derived from a PBE-relaxed structure, using Cu Kα (λ = 1.5418 Å).

Principal peaks in the range 10° ≤ 2θ ≤ 90°, low angle first:
d = 6.000 Å, 2θ 14.77, I = 102, hkl 1 1 1
d = 3.133 Å, 2θ 28.49, I = 657, hkl 3 1 1
d = 3.000 Å, 2θ 29.78, I = 117, hkl 2 2 2
d = 2.598 Å, 2θ 34.52, I = 522, hkl 4 0 0
d = 2.000 Å, 2θ 45.35, I = 294, hkl 5 1 1
d = 1.837 Å, 2θ 49.63, I = 1000, hkl 4 4 0
d = 1.585 Å, 2θ 58.22, I = 86, hkl 5 3 3
d = 1.500 Å, 2θ 61.86, I = 119, hkl 4 4 4
d = 1.353 Å, 2θ 69.48, I = 137, hkl 5 5 3
d = 1.299 Å, 2θ 72.81, I = 146, hkl 8 0 0
d = 1.200 Å, 2θ 79.95, I = 86, hkl 5 5 5
d = 1.162 Å, 2θ 83.14, I = 147, hkl 8 4 0

Structure:
Cell: 10.392 10.392 10.392 Å, 90.00 90.00 90.00°
Space group Fd-3m (No. 227, origin choice 2)
Asymmetric unit:
Ho (0.125, 0.125, 0.125) (multiplicity 8)
Cu (0.000, 0.000, 0.500) (multiplicity 16)
Ni (0.118, 0.375, 0.375) (multiplicity 48)


No. 9
The following is a calculated powder XRD pattern of Ho2Cu3Ni. It was derived from a PBE-relaxed structure, using Cu Kα (λ = 1.5418 Å).

Principal peaks in the range 10° ≤ 2θ ≤ 90°, low angle first:
d = 3.668 Å, 2θ 24.27, I = 225, hkl 0 1 1
d = 2.524 Å, 2θ 35.57, I = 1000, hkl 1 1 1
d = 2.501 Å, 2θ 35.90, I = 497, hkl 1 0 2
d = 2.132 Å, 2θ 42.41, I = 259, hkl 0 2 0
d = 2.091 Å, 2θ 43.27, I = 478, hkl 0 1 3
d = 1.740 Å, 2θ 52.61, I = 136, hkl 2 0 0
d = 1.622 Å, 2θ 56.74, I = 260, hkl 1 2 2
d = 1.598 Å, 2θ 57.68, I = 113, hkl 1 0 4
d = 1.348 Å, 2θ 69.78, I = 112, hkl 2 2 0
d = 1.337 Å, 2θ 70.41, I = 214, hkl 2 1 3
d = 1.294 Å, 2θ 73.13, I = 118, hkl 1 3 1
d = 1.270 Å, 2θ 74.77, I = 108, hkl 1 1 5

Structure:
```
data_Ho2Cu3Ni
_cell_length_a 3.479
_cell_length_b 4.263
_cell_length_c 7.197
_cell_angle_alpha 90.00
_cell_angle_beta 90.00
_cell_angle_gamma 90.00
_symmetry_space_group_name_H-M 'P m m 2'
_symmetry_Int_Tables_number 25
loop_
_symmetry_equiv_pos_as_xyz
'x,y,z'
'-x,-y,z'
'-x,y,z'
'x,-y,z'
loop_
_atom_site_label
_atom_site_type_symbol
_atom_site_fract_x
_atom_site_fract_y
_atom_site_fract_z
Ho1 Ho 0.000 0.000 0.000
Ho2 Ho 0.000 0.500 0.479
Cu1 Cu 0.500 0.000 0.654
Cu2 Cu 0.500 0.500 0.156
Cu3 Cu 0.500 0.500 0.820
Ni1 Ni 0.500 0.000 0.318
```


No. 10
The following is a calculated powder XRD pattern of HoCuNi. It was derived from a PBE-relaxed structure, using Cu Kα (λ = 1.5418 Å).

Principal peaks in the range 10° ≤ 2θ ≤ 90°, low angle first:
d = 3.671 Å, 2θ 24.24, I = 223, hkl 0 0 2
d = 2.545 Å, 2θ 35.26, I = 957, hkl 0 1 2
d = 2.510 Å, 2θ 35.78, I = 996, hkl 1 1 -1
d = 2.503 Å, 2θ 35.88, I = 1000, hkl 1 1 1
d = 2.103 Å, 2θ 43.01, I = 457, hkl 1 0 -3
d = 2.091 Å, 2θ 43.27, I = 448, hkl 1 0 3
d = 2.033 Å, 2θ 44.58, I = 445, hkl 2 0 0
d = 1.766 Å, 2θ 51.77, I = 284, hkl 0 2 0
d = 1.629 Å, 2θ 56.50, I = 234, hkl 0 1 4
d = 1.592 Å, 2θ 57.93, I = 272, hkl 2 1 -2
d = 1.584 Å, 2θ 58.23, I = 261, hkl 2 1 2
d = 1.333 Å, 2θ 70.66, I = 229, hkl 2 2 0

Structure:
```
data_HoCuNi
_cell_length_a 4.065
_cell_length_b 3.532
_cell_length_c 7.343
_cell_angle_alpha 90.00
_cell_angle_beta 90.38
_cell_angle_gamma 90.00
_symmetry_space_group_name_H-M 'P 1 2 1'
_symmetry_Int_Tables_number 3
loop_
_symmetry_equiv_pos_as_xyz
'x,y,z'
'-x,y,-z'
loop_
_atom_site_label
_atom_site_type_symbol
_atom_site_fract_x
_atom_site_fract_y
_atom_site_fract_z
Ho1 Ho 0.250 0.000 0.230
Cu1 Cu 0.251 0.502 0.588
Ni1 Ni 0.249 0.499 0.916
```


No. 11
The following is a calculated powder XRD pattern of HoCu10Ni2. It was derived from a PBE-relaxed structure, using Cu Kα (λ = 1.5418 Å).

Principal peaks in the range 10° ≤ 2θ ≤ 90°, low angle first:
d = 2.971 Å, 2θ 30.08, I = 113, hkl 1 1 3
d = 2.955 Å, 2θ 30.24, I = 129, hkl 1 3 1
d = 2.421 Å, 2θ 37.13, I = 405, hkl 1 3 3
d = 2.411 Å, 2θ 37.29, I = 152, hkl 2 0 0
d = 2.106 Å, 2θ 42.95, I = 405, hkl 1 1 5
d = 2.100 Å, 2θ 43.08, I = 481, hkl 0 4 4
d = 2.090 Å, 2θ 43.28, I = 1000, hkl 2 2 2
d = 1.875 Å, 2θ 48.55, I = 181, hkl 2 0 4
d = 1.869 Å, 2θ 48.73, I = 173, hkl 2 4 0
d = 1.478 Å, 2θ 62.88, I = 105, hkl 0 8 0
d = 1.325 Å, 2θ 71.16, I = 125, hkl 3 1 5
d = 1.211 Å, 2θ 79.11, I = 166, hkl 2 6 6

Structure:
```
data_HoCu10Ni2
_cell_length_a 4.822
_cell_length_b 11.816
_cell_length_c 11.941
_cell_angle_alpha 90.00
_cell_angle_beta 90.00
_cell_angle_gamma 90.00
_symmetry_space_group_name_H-M 'F m m m'
_symmetry_Int_Tables_number 69
_symmetry_space_group_name_Hall '-F 2 2'
loop_
_atom_site_label
_atom_site_type_symbol
_atom_site_fract_x
_atom_site_fract_y
_atom_site_fract_z
Ho1 Ho 0.000 0.000 0.000
Cu1 Cu 0.000 0.111 0.390
Cu2 Cu 0.000 0.179 0.174
Cu3 Cu 0.250 0.000 0.250
Ni1 Ni 0.250 0.250 0.000
```


No. 12
The following is a calculated powder XRD pattern of Ho7Cu2Ni2. It was derived from a PBE-relaxed structure, using Cu Kα (λ = 1.5418 Å).

Principal peaks in the range 10° ≤ 2θ ≤ 90°, low angle first:
d = 3.426 Å, 2θ 26.01, I = 215, hkl 0 0 2
d = 3.243 Å, 2θ 27.50, I = 208, hkl 2 0 1
d = 3.044 Å, 2θ 29.34, I = 1000, hkl 2 2 0
d = 2.985 Å, 2θ 29.93, I = 558, hkl 1 1 2
d = 2.894 Å, 2θ 30.90, I = 255, hkl 0 2 2
d = 2.705 Å, 2θ 33.12, I = 708, hkl 0 4 0
d = 2.353 Å, 2θ 38.24, I = 467, hkl 1 3 2
d = 2.275 Å, 2θ 39.61, I = 971, hkl 2 2 2
d = 1.840 Å, 2θ 49.53, I = 301, hkl 4 0 0
d = 1.619 Å, 2θ 56.86, I = 206, hkl 2 6 0
d = 1.493 Å, 2θ 62.19, I = 237, hkl 2 2 4
d = 1.447 Å, 2θ 64.39, I = 201, hkl 0 4 4

Structure:
```
data_Ho7Cu2Ni2
_cell_length_a 7.364
_cell_length_b 10.818
_cell_length_c 6.851
_cell_angle_alpha 90.00
_cell_angle_beta 90.00
_cell_angle_gamma 90.00
_symmetry_space_group_name_H-M 'C m m m'
_symmetry_Int_Tables_number 65
_symmetry_space_group_name_Hall '-C 2 2'
loop_
_atom_site_label
_atom_site_type_symbol
_atom_site_fract_x
_atom_site_fract_y
_atom_site_fract_z
Ho1 Ho 0.000 0.000 0.000
Ho2 Ho 0.000 0.500 0.253
Ho3 Ho 0.250 0.250 0.259
Cu1 Cu 0.170 0.000 0.500
Ni1 Ni 0.000 0.297 0.000
```


No. 13
The following is a calculated powder XRD pattern of Ho2CuNi9. It was derived from a PBE-relaxed structure, using Cu Kα (λ = 1.5418 Å).

Principal peaks in the range 10° ≤ 2θ ≤ 90°, low angle first:
d = 7.961 Å, 2θ 11.11, I = 178, hkl 0 0 3
d = 3.451 Å, 2θ 25.82, I = 211, hkl 1 0 4
d = 2.655 Å, 2θ 33.76, I = 433, hkl 1 0 7
d = 2.440 Å, 2θ 36.83, I = 1000, hkl 1 1 0
d = 2.106 Å, 2θ 42.94, I = 394, hkl 0 2 1
d = 2.081 Å, 2θ 43.48, I = 885, hkl 1 1 6
d = 1.992 Å, 2θ 45.53, I = 313, hkl 0 2 4
d = 1.933 Å, 2θ 47.02, I = 650, hkl 2 0 5
d = 1.409 Å, 2θ 66.33, I = 252, hkl 3 0 0
d = 1.328 Å, 2θ 70.95, I = 278, hkl 2 0 14
d = 1.287 Å, 2θ 73.59, I = 150, hkl 1 2 11
d = 1.221 Å, 2θ 78.32, I = 239, hkl 2 2 0

Structure:
```
data_Ho2CuNi9
_cell_length_a 4.8830
_cell_length_b 4.8830
_cell_length_c 23.8830
_cell_angle_alpha 90.00
_cell_angle_beta 90.00
_cell_angle_gamma 120.00
_symmetry_space_group_name_H-M 'R -3 m'
_symmetry_Int_Tables_number 166
_symmetry_space_group_name_Hall '-R 3 2"'
loop_
_atom_site_label
_atom_site_type_symbol
_atom_site_fract_x
_atom_site_fract_y
_atom_site_fract_z
Ho1 Ho 0.0000 0.0000 0.1337
Cu1 Cu 0.0000 0.0000 0.0000
Ni1 Ni 0.0000 0.0000 0.3331
Ni2 Ni 0.0000 0.0000 0.5000
Ni3 Ni 0.0013 0.5007 0.9186
```


No. 14
The following is a calculated powder XRD pattern of HoThCuNi. It was derived from a PBE-relaxed structure, using Cu Kα (λ = 1.5418 Å).

Principal peaks in the range 10° ≤ 2θ ≤ 90°, low angle first:
d = 3.487 Å, 2θ 25.55, I = 146, hkl 0 1 1
d = 3.371 Å, 2θ 26.44, I = 489, hkl 1 0 2
d = 2.721 Å, 2θ 32.92, I = 363, hkl 0 0 4
d = 2.707 Å, 2θ 33.10, I = 1000, hkl 1 1 1
d = 2.584 Å, 2θ 34.72, I = 383, hkl 0 1 3
d = 2.214 Å, 2θ 40.76, I = 536, hkl 1 1 3
d = 2.147 Å, 2θ 42.09, I = 274, hkl 2 0 0
d = 1.840 Å, 2θ 49.53, I = 170, hkl 0 2 0
d = 1.717 Å, 2θ 53.35, I = 159, hkl 1 1 5
d = 1.685 Å, 2θ 54.44, I = 176, hkl 2 0 4
d = 1.651 Å, 2θ 55.66, I = 203, hkl 2 1 3
d = 1.191 Å, 2θ 80.64, I = 146, hkl 2 1 7

Structure:
```
data_HoThCuNi
_cell_length_a 4.294
_cell_length_b 3.681
_cell_length_c 10.884
_cell_angle_alpha 90.00
_cell_angle_beta 90.00
_cell_angle_gamma 90.00
_symmetry_space_group_name_H-M 'A m m 2'
_symmetry_Int_Tables_number 38
loop_
_symmetry_equiv_pos_as_xyz
'x,y,z'
'-x,-y,z'
'-x,y,z'
'x,-y,z'
'x,y+1/2,z+1/2'
'-x,-y+1/2,z+1/2'
'-x,y+1/2,z+1/2'
'x,-y+1/2,z+1/2'
loop_
_atom_site_label
_atom_site_type_symbol
_atom_site_fract_x
_atom_site_fract_y
_atom_site_fract_z
Ho1 Ho 0.000 0.000 0.000
Th1 Th 0.500 0.000 0.727
Cu1 Cu 0.500 0.000 0.439
Ni1 Ni 0.000 0.000 0.279
```